No. 1
The following is a calculated powder XRD pattern of ZnSb2P2O9. It was derived from DFT lattice parameters and positions (PBE), using Cu Kα.
Peak positions follow from Bragg's law for the DFT cell and can differ from measured ones.

Principal peaks in the range 15 to 90 degrees two-theta, in order of rising 2θ:
2θ/deg	I/Imax
18.88	100.0
23.67	58.2
27.04	43.3
28.13	74.0
28.41	56.6
28.81	36.0
29.43	27.7
29.64	33.2
37.33	30.0
51.87	29.4

Atomic structure:
```
56
Lattice="6.2919 0.0000 0.0000 0.0000 7.5030 0.0000 0.0000 0.0000 18.0841" Properties=species:S:1:pos:R:3 pbc="T T T"
Zn 0.3645 0.5218 0.0941
Zn 2.7814 6.9813 9.1362
Zn 3.5104 3.2298 17.9900
Zn 5.9274 4.2733 8.9479
Sb 0.3268 5.2217 3.5167
Sb 0.6926 3.8881 15.4561
Sb 2.4534 3.6149 6.4140
Sb 2.8192 2.2813 12.5588
Sb 3.4727 6.0328 14.5674
Sb 3.8385 7.3664 2.6280
Sb 5.5993 0.1366 11.6701
Sb 5.9651 1.4702 5.5253
P 0.3264 3.5909 0.4855
P 0.4410 7.2888 15.0238
P 2.7050 0.2143 5.9818
P 2.8195 3.9121 9.5276
P 3.4723 0.1606 17.5986
P 3.5869 3.9658 3.0603
P 5.8509 3.5373 12.1023
P 5.9655 7.3424 8.5565
O 0.0250 5.8124 15.5131
O 0.3761 2.2047 1.1178
O 0.4079 4.7038 1.5708
O 0.5037 0.6972 16.2138
O 0.5680 3.1590 6.0249
O 0.5865 4.0254 13.1371
O 0.9028 0.0935 9.4740
O 1.3321 0.3312 5.2239
O 1.5756 3.6735 8.5579
O 1.5703 3.8296 17.6000
O 1.8138 7.1718 14.2659
O 2.2431 7.4096 0.4319
O 2.5594 3.4776 4.0950
O 2.5779 4.3440 15.0670
O 2.6422 6.8059 7.1717
O 2.7381 2.7992 10.6129
O 2.7699 5.2984 10.1598
O 3.1209 1.6906 6.4711
O 3.1710 5.4421 2.5710
O 3.5220 1.5468 16.9663
O 3.5538 6.5507 16.5133
O 3.6497 3.0543 1.8703
O 3.7140 0.5925 12.0592
O 3.7325 7.2291 4.9470
O 4.0487 3.6581 8.6101
O 4.4780 3.4203 12.8602
O 4.7216 0.0780 9.5262
O 4.7163 7.4250 0.4841
O 4.9598 4.0827 3.8182
O 5.3891 3.8450 17.6522
O 5.7053 0.2739 13.9891
O 5.7238 6.9106 3.0172
O 5.7881 4.4487 10.9124
O 5.8840 0.9523 7.4712
O 5.9158 5.9562 7.9243
O 6.2668 2.0609 11.6131
```

No. 2
The following is a calculated powder XRD pattern of MgSi. It was derived from DFT lattice parameters and positions (PBE), using Cu Kα.
Peak positions follow from Bragg's law for the DFT cell and can differ from measured ones.

Principal peaks in the range 15 to 90 degrees two-theta, in order of rising 2θ:
2θ/deg	I/Imax
30.31	14.7
30.73	14.4
35.74	29.8
36.27	100.0
36.48	13.5
36.92	13.2
40.67	35.4
42.09	27.4
42.67	13.1
44.07	40.4

Atomic structure:
```
12
Lattice="4.6807 -2.0550 0.0000 4.6807 2.0550 0.0000 -4.2659 0.0000 11.6540" Properties=species:S:1:pos:R:3 pbc="T T T"
Mg 0.0000 0.0000 0.0000
Mg -0.4990 0.0000 9.1579
Mg 3.5809 0.0000 3.0389
Mg 2.1547 0.0000 7.2721
Mg 6.3837 0.0000 1.6155
Mg 6.4192 0.0000 4.7249
Si -3.2446 0.0000 8.9732
Si -0.3324 0.0000 5.4834
Si 0.7478 0.0000 3.2184
Si 2.8826 0.0000 0.2242
Si 2.3317 0.0000 10.4370
Si 4.7846 0.0000 6.9226
```

No. 3
The following is a calculated powder XRD pattern of Mg2Sn. It was derived from DFT lattice parameters and positions (PBE), using Cu Kα.
Peak positions follow from Bragg's law for the DFT cell and can differ from measured ones.

Principal peaks in the range 15 to 90 degrees two-theta, in order of rising 2θ:
2θ/deg	I/Imax
17.09	38.1
19.14	22.1
21.56	16.8
31.90	41.1
34.57	23.2
36.41	100.0
47.75	27.4
56.85	16.8
63.15	20.4
68.27	19.5

Atomic structure:
```
6
Lattice="2.8051 1.6195 5.1897 -2.8051 1.6195 5.1897 0.0000 -3.2390 5.1897" Properties=species:S:1:pos:R:3 pbc="T T T"
Mg 0.0000 0.0000 0.0000
Mg -1.8760 0.0000 7.7845
Mg 0.9380 -1.6247 7.7845
Mg 0.9380 1.6247 7.7845
Sn 0.0000 0.0000 5.1920
Sn 0.0000 0.0000 10.3770
```

No. 4
The following is a calculated powder XRD pattern of BaLiMg14. It was derived from DFT lattice parameters and positions (PBE), using Cu Kα.
Peak positions follow from Bragg's law for the DFT cell and can differ from measured ones.

Principal peaks in the range 15 to 90 degrees two-theta, in order of rising 2θ:
2θ/deg	I/Imax
17.53	47.6
28.07	17.5
29.93	15.4
30.95	26.3
34.29	23.7
35.49	100.0
46.86	15.9
55.05	19.2
62.19	18.2
66.48	19.2

Atomic structure:
```
16
Lattice="6.6730 0.0000 0.0000 -3.3365 5.7790 0.0000 0.0000 0.0000 10.4594" Properties=species:S:1:pos:R:3 pbc="T T T"
Ba 0.0000 0.0000 0.0000
Li 0.0000 0.0000 5.2297
Mg -1.6143 2.9207 0.0000
Mg 0.0000 1.9782 2.7431
Mg 0.0000 1.9782 7.7163
Mg -1.6233 4.7899 2.7431
Mg -1.6233 4.7899 7.7163
Mg 1.6143 2.9207 0.0000
Mg 0.0000 5.7167 0.0000
Mg 3.3365 0.0104 5.2297
Mg 1.6772 2.8843 5.2297
Mg 1.6233 4.7899 2.7431
Mg 1.6233 4.7899 7.7163
Mg 3.3365 1.9263 2.5695
Mg 3.3365 1.9263 7.8899
Mg 4.9958 2.8843 5.2297
```

No. 5
The following is a calculated powder XRD pattern of Li24I10N5. It was derived from DFT lattice parameters and positions (PBE), using Cu Kα.
Peak positions follow from Bragg's law for the DFT cell and can differ from measured ones.

Principal peaks in the range 15 to 90 degrees two-theta, in order of rising 2θ:
2θ/deg	I/Imax
16.28	28.7
26.74	100.0
31.35	6.2
31.52	11.4
37.99	7.3
38.27	11.8
47.10	11.4
47.28	21.5
55.02	6.9
62.41	7.2

Atomic structure:
```
39
Lattice="-4.7039 4.7039 9.4752 4.7039 -4.7039 9.4752 4.7039 4.7039 -9.4752" Properties=species:S:1:pos:R:3 pbc="T T T"
Li 2.5309 -2.5309 5.2828
Li 4.5850 -2.6767 6.9803
Li 5.4758 1.8897 -1.9655
Li 7.3806 -0.1189 2.4949
Li 3.2524 -3.2524 9.1067
Li 2.0272 0.1189 2.4949
Li 1.4515 1.4515 0.3685
Li 3.9321 1.8897 1.9655
Li 2.8142 -0.7718 7.5097
Li 0.1189 2.0272 2.4949
Li 2.1730 2.1730 4.1925
Li 1.8897 5.4758 -1.9655
Li 1.8897 3.9321 1.9655
Li -2.5309 2.5309 5.2828
Li 4.8228 2.6767 6.9803
Li 2.8142 0.7718 11.4407
Li -0.7718 2.8142 7.5097
Li -3.2524 3.2524 9.1067
Li -2.6767 4.5850 6.9803
Li 3.2524 3.2524 9.8437
Li 2.6767 4.8228 6.9803
Li 0.7718 2.8142 11.4407
Li -0.1189 7.3806 2.4949
Li 2.5309 2.5309 13.6677
I 4.7039 0.0000 0.0000
I 2.6460 2.6460 -2.1993
I 0.0000 0.0000 4.5395
I 4.7039 0.0000 4.7376
I 2.0579 -2.0579 11.6746
I 0.0000 4.7039 0.0000
I 2.0579 2.0579 7.2759
I 0.0000 4.7039 4.7376
I 0.0000 0.0000 14.4110
I -2.0579 2.0579 11.6746
N 0.0000 0.0000 0.0000
N 2.6651 -2.6651 7.2431
N 2.0388 2.0388 2.2322
N -2.6651 2.6651 7.2431
N 2.6651 2.6651 11.7074
```

No. 6
The following is a calculated powder XRD pattern of Na2UI6. It was derived from DFT lattice parameters and positions (PBE), using Cu Kα.
Peak positions follow from Bragg's law for the DFT cell and can differ from measured ones.

Principal peaks in the range 15 to 90 degrees two-theta, in order of rising 2θ:
2θ/deg	I/Imax
17.92	48.3
28.50	100.0
36.29	25.0
38.57	50.8
42.84	18.6
46.78	25.7
54.00	31.7
69.79	17.3
72.73	14.3
84.09	15.1

Atomic structure:
```
18
Lattice="9.9023 0.0000 0.0000 0.0000 9.9023 0.0000 0.0000 0.0000 9.9023" Properties=species:S:1:pos:R:3 pbc="T T T"
Na 0.0000 0.0000 0.0000
Na 0.0000 4.9511 4.9511
Na 4.9511 0.0000 4.9511
Na 4.9511 4.9511 0.0000
U 2.4756 2.4756 2.4756
U 7.4267 7.4267 7.4267
I 0.5269 7.4267 7.4267
I 2.4756 2.4756 5.4781
I 2.4756 2.4756 9.3753
I 2.4756 5.4781 2.4756
I 2.4756 9.3753 2.4756
I 4.4242 7.4267 7.4267
I 5.4781 2.4756 2.4756
I 7.4267 0.5269 7.4267
I 7.4267 4.4242 7.4267
I 7.4267 7.4267 0.5269
I 7.4267 7.4267 4.4242
I 9.3753 2.4756 2.4756
```

No. 7
The following is a calculated powder XRD pattern of Sr2HCl2. It was derived from DFT lattice parameters and positions (PBE), using Cu Kα.
Peak positions follow from Bragg's law for the DFT cell and can differ from measured ones.

Principal peaks in the range 15 to 90 degrees two-theta, in order of rising 2θ:
2θ/deg	I/Imax
15.38	100.0
20.12	18.9
21.82	43.4
24.84	10.5
25.42	10.6
30.30	12.9
31.05	17.3
34.82	25.1
42.50	12.1
53.55	11.9

Atomic structure:
```
5
Lattice="5.7612 0.0000 0.0000 0.0000 5.7612 0.0000 0.0000 0.0000 13.7340" Properties=species:S:1:pos:R:3 pbc="T T T"
Sr 0.0000 0.0000 2.2862
Sr 0.0000 0.0000 11.4478
H 0.0000 0.0000 0.0000
Cl 0.0000 0.0000 4.8341
Cl 0.0000 0.0000 8.8999
```